# 1
This entry pairs a crystal structure of SrZn3Si2 with its simulated powder diffraction line list. Radiation: Cu Kα. Structure: a crystal structure in Alexandria, relaxed with PBE.
Peak positions follow from Bragg's law for the DFT cell and can differ from measured ones.

The 10 most intense peaks (2θ from 10° to 90°), in order of rising 2θ:
(hkl)  2theta  I (rel.)
0 0 1  12.85  186
4 0 0  24.30  167
3 1 -1  27.63  130
1 1 -2  32.28  272
3 1 1  33.95  1000
2 0 -3  36.02  217
5 1 -2  38.01  581
0 2 0  43.17  367
8 0 -1  45.86  289
8 2 -1  64.80  197

Atomic structure:
Cell: 15.997 4.191 7.513 Å, 90.00 113.49 90.00°
Space group C2/m (No. 12)
Inequivalent atoms, fractional coordinates:
Sr 0.151 0.000 0.072 (multiplicity 4)
Zn 0.039 0.000 0.376 (multiplicity 4)
Zn 0.106 0.500 0.700 (multiplicity 4)
Zn 0.176 0.500 0.431 (multiplicity 4)
Si 0.014 0.500 0.170 (multiplicity 4)
Si 0.192 0.000 0.670 (multiplicity 4)


# 2
This entry pairs a crystal structure of Ta3Si with its simulated powder diffraction line list. Radiation: Cu Kα. Structure: a crystal structure in Alexandria, relaxed with PBE.
Peak positions follow from Bragg's law for the DFT cell and can differ from measured ones.

The 10 most intense peaks (2θ from 10° to 90°), in order of rising 2θ:
(hkl)  2theta  I (rel.)
1 2 1  30.89  227
2 1 1  35.40  182
2 2 0  36.46  1000
0 3 1  36.54  216
1 1 2  38.15  247
1 3 1  39.48  161
1 2 2  42.73  347
0 4 0  43.63  159
1 4 2  58.13  133
2 2 4  81.63  126

Atomic structure:
Cell: 6.133 8.299 5.372 Å, 90.00 90.00 90.00°
Space group Pnma (No. 62)
Inequivalent atoms, fractional coordinates:
Ta 0.020 0.250 0.127 (multiplicity 4)
Ta 0.211 0.037 0.625 (multiplicity 8)
Si 0.098 0.750 0.403 (multiplicity 4)


Please write out number 2 again, unchanged.
This entry pairs a crystal structure of Ta3Si with its simulated powder diffraction line list. Radiation: Cu Kα. Structure: a crystal structure in Alexandria, relaxed with PBE.
Peak positions follow from Bragg's law for the DFT cell and can differ from measured ones.

The 10 most intense peaks (2θ from 10° to 90°), in order of rising 2θ:
(hkl)  2theta  I (rel.)
1 2 1  30.89  227
2 1 1  35.40  182
2 2 0  36.46  1000
0 3 1  36.54  216
1 1 2  38.15  247
1 3 1  39.48  161
1 2 2  42.73  347
0 4 0  43.63  159
1 4 2  58.13  133
2 2 4  81.63  126

Atomic structure:
Cell: 6.133 8.299 5.372 Å, 90.00 90.00 90.00°
Space group Pnma (No. 62)
Inequivalent atoms, fractional coordinates:
Ta 0.020 0.250 0.127 (multiplicity 4)
Ta 0.211 0.037 0.625 (multiplicity 8)
Si 0.098 0.750 0.403 (multiplicity 4)